RbMnBi2S4: computed PXRD pattern (Cu Ka), based on a cell relaxed with GGA-PBE.
Kinematic intensities with the Lorentz-polarization factor, no thermal factor.

Structural model:
a = 7.5333 Å, b = 7.5333 Å, c = 14.5642 Å
α = 90.00°, β = 90.00°, γ = 148.09°
Positions (direct):
Rb  0.1163  0.8837  0.7500
Rb  0.8837  0.1163  0.2500
Mn  0.1515  0.8485  0.2500
Mn  0.8485  0.1515  0.7500
Bi  0.3734  0.6266  0.5557
Bi  0.3734  0.6266  0.9443
Bi  0.6266  0.3734  0.0557
Bi  0.6266  0.3734  0.4443
S  0.0000  0.0000  0.0000
S  0.0000  0.0000  0.5000
S  0.2459  0.7541  0.1137
S  0.2459  0.7541  0.3863
S  0.4320  0.5680  0.7500
S  0.5680  0.4320  0.2500
S  0.7541  0.2459  0.6137
S  0.7541  0.2459  0.8863

Largest 10 diffraction maxima, low angle first, 2θ = 10–90°:
two_theta  I (rel.)
12.2  45
13.7  43
22.0  100
24.6  56
25.5  67
29.0  63
31.0  93
33.1  43
38.3  44
42.3  68

***

Pm7Sm12Th: computed PXRD pattern (Cu Ka), based on a cell relaxed with GGA-PBE.
Kinematic intensities with the Lorentz-polarization factor, no thermal factor.

Structural model:
a = 8.8300 Å, b = 8.8300 Å, c = 8.8300 Å
α = 90.50°, β = 90.50°, γ = 90.50°
Positions (direct):
Pm  0.0000  0.0000  0.0000
Pm  0.1189  0.4289  0.3683
Pm  0.3683  0.1189  0.4289
Pm  0.4289  0.3683  0.1189
Pm  0.5711  0.6317  0.8811
Pm  0.6317  0.8811  0.5711
Pm  0.8811  0.5711  0.6317
Sm  0.0231  0.9166  0.3448
Sm  0.0834  0.6552  0.9769
Sm  0.2231  0.3649  0.7555
Sm  0.2445  0.7769  0.6351
Sm  0.3448  0.0231  0.9166
Sm  0.3649  0.7555  0.2231
Sm  0.6351  0.2445  0.7769
Sm  0.6552  0.9769  0.0834
Sm  0.7555  0.2231  0.3649
Sm  0.7769  0.6351  0.2445
Sm  0.9166  0.3448  0.0231
Sm  0.9769  0.0834  0.6552
Th  0.5000  0.5000  0.5000

Largest 10 diffraction maxima, low angle first, 2θ = 10–90°:
two_theta  I (rel.)
28.7  29
30.2  100
30.4  56
30.6  38
32.0  98
32.1  50
38.4  16
52.6  25
53.0  17
55.9  23

***

BaLaIO2: computed PXRD pattern (Cu Ka), based on a cell relaxed with GGA-PBE.
Kinematic intensities with the Lorentz-polarization factor, no thermal factor.

Structural model:
a = 7.7684 Å, b = 4.4618 Å, c = 8.6744 Å
α = 90.00°, β = 106.53°, γ = 90.00°
Positions (direct):
Ba  0.1708  0.2500  0.4237
Ba  0.8292  0.7500  0.5763
La  0.1377  0.2500  0.9078
La  0.8623  0.7500  0.0922
I  0.4564  0.7500  0.7615
I  0.5436  0.2500  0.2385
O  0.9996  0.2500  0.6464
O  0.0004  0.7500  0.3536
O  0.0216  0.7500  0.8996
O  0.9784  0.2500  0.1004

Largest 10 diffraction maxima, low angle first, 2θ = 10–90°:
two_theta  I (rel.)
23.2  69
27.0  33
27.2  81
27.4  91
29.3  100
31.3  80
40.4  38
41.6  31
49.5  66
52.0  31